Ba12Sm4Al3Co5O30: simulated powder diffractogram (Cu Kα, 1.54184 Å), based on a crystal structure in the Materials Project, relaxed with GGA+U.

Main lines, by angle (10 to 90 degrees two-theta):
hkl, 2θ (°), I_rel
1 2 1, 26.4, 17
2 -2 1, 29.2, 27
2 2 -1, 29.5, 17
0 2 2, 30.2, 64
0 2 -4, 30.3, 100
0 4 -2, 30.4, 62
2 -2 2, 30.7, 32
2 2 0, 30.9, 33
2 0 -3, 36.1, 21
2 -3 3, 36.6, 22
2 0 3, 36.8, 18
2 4 -4, 43.7, 15

Structural model:
Unit cell a=7.1134 b=11.7648 c=11.8138 alpha=119.64 beta=90.68 gamma=90.63
Fractional positions:
Ba 0.0000 0.0000 0.0000
Ba 0.0010 0.4688 0.9959
Ba 0.1726 0.4824 0.5124
Ba 0.1854 0.8152 0.1708
Ba 0.3310 0.2958 0.1253
Ba 0.4945 0.1606 0.3466
Ba 0.4987 0.6484 0.3558
Ba 0.5049 0.6423 0.8218
Ba 0.6737 0.8148 0.1695
Ba 0.6896 0.1549 0.8378
Ba 0.8335 0.7737 0.6516
Ba 0.9975 0.9937 0.5169
Sm 0.3182 0.2968 0.6931
Sm 0.3374 0.8662 0.6951
Sm 0.8229 0.3393 0.6511
Sm 0.8292 0.3424 0.2143
Al 0.4959 0.0049 0.5333
Al 0.5044 0.0012 0.9945
Al 0.5086 0.4540 0.9862
Co 0.0034 0.6435 0.3542
Co 0.0132 0.6436 0.8178
Co 0.1491 0.1579 0.8385
Co 0.6332 0.4805 0.5080
Co 0.9885 0.1724 0.3522
O 0.0172 0.0005 0.7600
O 0.0943 0.2231 0.2439
O 0.1006 0.4864 0.2303
O 0.1227 0.2208 0.5110
O 0.1348 0.4808 0.7678
O 0.1553 0.7543 0.5009
O 0.1587 0.7460 0.7762
O 0.3219 0.0702 0.6586
O 0.3269 0.3236 0.9107
O 0.3322 0.0543 0.9154
O 0.4063 0.9330 0.0846
O 0.4135 0.6119 0.0680
O 0.4169 0.9282 0.3699
O 0.4863 0.6480 0.5895
O 0.4929 0.3979 0.5939
O 0.5110 0.4047 0.3484
O 0.6030 0.8931 0.5723
O 0.6193 0.8876 0.8522
O 0.6313 0.1483 0.5720
O 0.6347 0.4187 0.8428
O 0.6484 0.4207 0.0932
O 0.6506 0.1398 0.1006
O 0.8109 0.3097 0.4302
O 0.8242 0.5539 0.6748
O 0.8299 0.5578 0.4127
O 0.9101 0.7156 0.9758
O 0.9128 0.7331 0.2771
O 0.9199 0.0028 0.2775
O 0.9870 0.2312 0.9995
O 0.9967 0.2359 0.7522